Calculated powder diffraction line list
Compound: PmBeSi2Ir
Radiation: copper Kα
Structure: a structure optimized by DFT (PBE)

Cell and atoms:
```
PmBeSi2Ir
1.0
3.960 0.000 0.000
0.000 3.960 0.000
0.000 0.000 10.367
Pm Be Si Ir
2 2 4 2
Direct
0.000 0.000 0.000
0.500 0.500 0.500
0.000 0.500 0.250
0.500 0.000 0.750
0.000 0.000 0.380
0.000 0.000 0.620
0.500 0.500 0.120
0.500 0.500 0.880
0.000 0.500 0.750
0.500 0.000 0.250
```

Top 8 peaks for 2θ = 10–90°, by intensity:
| 2θ/deg | intensity | h k l |
| --- | --- | --- |
| 24.1 | 100 | 1 0 1 |
| 36.5 | 94 | 1 1 2 |
| 34.4 | 62 | 1 0 3 |
| 45.8 | 33 | 2 0 0 |
| 58.6 | 27 | 2 1 3 |
| 52.4 | 25 | 2 1 1 |
| 49.6 | 23 | 1 0 5 |
| 78.6 | 21 | 3 1 2 |

***

Calculated powder diffraction line list
Compound: PmTiBeIr2
Radiation: copper Kα
Structure: a structure optimized by DFT (PBE)

Cell and atoms:
```
PmTiBeIr2
1.0
3.960 0.000 0.000
0.000 3.960 0.000
0.000 0.000 11.365
Pm Ti Be Ir
2 2 2 4
Direct
0.000 0.000 0.000
0.500 0.500 0.500
0.000 0.500 0.750
0.500 0.000 0.250
0.000 0.500 0.250
0.500 0.000 0.750
0.000 0.000 0.382
0.000 0.000 0.618
0.500 0.500 0.118
0.500 0.500 0.882
```

Top 8 peaks for 2θ = 10–90°, by intensity:
| 2θ/deg | intensity | h k l |
| --- | --- | --- |
| 32.7 | 100 | 1 0 3 |
| 32.0 | 81 | 1 1 0 |
| 46.0 | 59 | 1 0 5 |
| 45.8 | 45 | 2 0 0 |
| 57.4 | 41 | 2 1 3 |
| 67.0 | 39 | 2 1 5 |
| 35.7 | 30 | 1 1 2 |
| 23.8 | 29 | 1 0 1 |